This entry pairs a crystal structure of Ba2Cu2NiO6 with its computed powder diffraction line list. Radiation: Cu Kα X-rays. Structure: a cell relaxed with PBE+U.
Peak positions follow from Bragg's law for the DFT cell and can differ from measured ones.

Structure:
Unit cell a=6.4834 b=6.4834 c=6.4834 alpha=53.08 beta=53.08 gamma=53.08
Element x y z (fractional)
Ba 0.2224 0.2224 0.2224
Ba 0.7776 0.7776 0.7776
Cu 0.4159 0.4159 0.4159
Cu 0.5841 0.5841 0.5841
Ni 0.0000 0.0000 0.0000
O 0.2258 0.7640 0.7640
O 0.2360 0.2360 0.7742
O 0.2360 0.7742 0.2360
O 0.7640 0.2258 0.7640
O 0.7640 0.7640 0.2258
O 0.7742 0.2360 0.2360

Main lines, sorted by position (2θ = 15–90°):
Position (°2θ)  d [Å]  Rel. int.
27.84  3.205  178
30.87  2.897  1000
32.25  2.776  824
37.44  2.402  137
42.04  2.149  198
45.24  2.004  378
54.89  1.673  190
55.77  1.648  312
59.23  1.560  168
64.29  1.449  233
73.78  1.284  177
76.80  1.241  103